The following is a simulated powder diffraction line list of Cs7H4F4. It was derived from DFT lattice parameters and positions (PBE), using copper Kα.
Intensities are scaled so that the largest is 100.

Most intense lines, 10° ≤ 2θ ≤ 90°, sorted by position:
18.4°, 4.813 Å, intensity 38
22.9°, 3.887 Å, intensity 46
23.4°, 3.805 Å, intensity 56
24.0°, 3.709 Å, intensity 100
24.3°, 3.656 Å, intensity 36
24.8°, 3.587 Å, intensity 56
26.7°, 3.334 Å, intensity 50
31.6°, 2.834 Å, intensity 64
35.0°, 2.560 Å, intensity 72
49.7°, 1.834 Å, intensity 51

```
Cs7H4F4
1.0
-7.610 7.610 3.887
7.610 -7.610 3.887
7.610 7.610 -3.887
Cs H F
14 8 8
direct
0.000 0.358 0.358 Cs
0.000 0.642 0.642 Cs
0.213 0.213 0.425 Cs
0.213 0.787 0.000 Cs
0.230 0.500 0.730 Cs
0.247 0.247 0.000 Cs
0.358 0.000 0.358 Cs
0.500 0.230 0.730 Cs
0.500 0.770 0.270 Cs
0.642 0.000 0.642 Cs
0.753 0.753 0.000 Cs
0.770 0.500 0.270 Cs
0.787 0.213 0.000 Cs
0.787 0.787 0.575 Cs
0.000 0.166 0.166 H
0.000 0.834 0.834 H
0.166 0.000 0.166 H
0.383 0.383 0.766 H
0.383 0.617 0.000 H
0.617 0.383 0.000 H
0.617 0.617 0.234 H
0.834 0.000 0.834 H
0.107 0.607 0.214 F
0.107 0.893 0.500 F
0.393 0.607 0.500 F
0.393 0.893 0.786 F
0.607 0.107 0.214 F
0.607 0.393 0.500 F
0.893 0.107 0.500 F
0.893 0.393 0.786 F
```